Starting from a GGA+U-relaxed structure, the XRD peak list of Li7NiOF7 was calculated for CuKα.

Structure:
a = 6.5008 Å, b = 6.5008 Å, c = 9.7015 Å
α = 127.23°, β = 127.23°, γ = 26.07°
Atoms (fractional coordinates):
Li1 0.0000 0.0000 0.0000
Li2 0.1210 0.1210 0.3765
Li3 0.2643 0.2643 0.7778
Li4 0.3789 0.3789 0.1350
Li5 0.5076 0.5076 0.5088
Li6 0.6288 0.6288 0.8968
Li7 0.7496 0.7496 0.2523
Ni1 0.8861 0.8861 0.6560
O1 0.4409 0.4409 0.8212
F1 0.0688 0.0688 0.6938
F2 0.1972 0.1972 0.0823
F3 0.3177 0.3177 0.4501
F4 0.5683 0.5683 0.2040
F5 0.6869 0.6869 0.5656
F6 0.8131 0.8131 0.9532
F7 0.9412 0.9412 0.3254

The 6 most intense peaks (10 to 90 degrees two-theta), by angle:
2θ = 11.64°, I = 718
2θ = 13.99°, I = 455
2θ = 18.60°, I = 292
2θ = 43.67°, I = 1000
2θ = 44.09°, I = 495
2θ = 63.79°, I = 545